SmYCd4: theoretical powder diffraction line list (Cu Kα X-rays), based on a structure optimized by DFT (PBE).

```
data_SmYCd4
_chemical_formula_sum 'Sm1 Y1 Cd4'
_symmetry_space_group_name_H-M 'P 1 2/m 1'
_symmetry_Int_Tables_number 10
_symmetry_space_group_name_Hall '-P 2y'
_cell_length_a 3.4685
_cell_length_b 8.6641
_cell_length_c 4.9989
_cell_angle_alpha 90.00
_cell_angle_beta 90.14
_cell_angle_gamma 90.00
loop_
_atom_site_label
_atom_site_type_symbol
_atom_site_fract_x
_atom_site_fract_y
_atom_site_fract_z
Sm1 Sm 0.0000 0.0000 0.0000
Y1 Y 0.0000 0.5000 0.5000
Cd1 Cd 0.5000 0.1690 0.5000
Cd2 Cd 0.5000 0.3353 0.0000
```

Principal peaks in the range 2θ from 15° to 90°, low angle first:
two_theta, Rel. int., hkl
33.1, 100, 1 2 0
35.9, 89, 0 3 1
49.6, 21, 1 2 -2
49.7, 10, 1 2 2
62.8, 25, 1 5 1
64.6, 15, 0 3 3
65.4, 15, 2 3 -1
65.6, 15, 2 3 1